Simulated powder X-ray diffraction pattern of Mg6NiCO8 for Cu Kα (λ = 1.5418 Å), from a crystal structure in Alexandria, relaxed with PBE+U.
Neutral-atom scattering factors, no anomalous dispersion.

Cell and atoms:
```
data_Mg6NiCO8
_chemical_formula_sum 'Mg6 Ni1 C1 O8'
_cell_length_a 4.2134
_cell_length_b 4.2134
_cell_length_c 8.4980
_cell_angle_alpha 90.00
_cell_angle_beta 90.00
_cell_angle_gamma 90.00
_symmetry_space_group_name_H-M 'P 4/m m m'
_symmetry_Int_Tables_number 123
_symmetry_space_group_name_Hall '-P 4 2'
loop_
_atom_site_label
_atom_site_type_symbol
_atom_site_fract_x
_atom_site_fract_y
_atom_site_fract_z
_atom_site_occupancy
Mg1 Mg 0.0000 0.0000 0.0000 1
Mg2 Mg 0.0000 0.5000 0.2555 1
Mg3 Mg 0.5000 0.5000 0.0000 1
Ni1 Ni 0.0000 0.0000 0.5000 1
C1 C 0.5000 0.5000 0.5000 1
O1 O 0.0000 0.0000 0.2517 1
O2 O 0.0000 0.5000 0.0000 1
O3 O 0.0000 0.5000 0.5000 1
O4 O 0.5000 0.5000 0.2505 1
```

Principal peaks in the range 5° ≤ 2θ ≤ 70°, sorted by position:
hkl 0 0 1, 10.41 deg, I 11; hkl 1 0 0, 21.09 deg, I 15; hkl 1 0 1, 23.57 deg, I 23; hkl 1 0 2, 29.86 deg, I 13; hkl 1 1 2, 36.85 deg, I 24; hkl 1 0 3, 38.29 deg, I 7; hkl 0 0 4, 42.55 deg, I 51; hkl 2 0 0, 42.93 deg, I 100; hkl 2 1 1, 49.55 deg, I 6; hkl 2 1 2, 53.17 deg, I 5; hkl 2 0 4, 62.04 deg, I 56; hkl 2 2 0, 62.33 deg, I 28